# 1
Theoretical XRD peak list of Ba2Tl2Zn3Cr4O12 for copper Kα, from a PBE+U-relaxed structure.
No peak broadening, texture or thermal motion is included.

```
data_Ba2Tl2Zn3Cr4O12
_chemical_formula_sum 'Ba4 Tl4 Zn6 Cr8 O24'
_cell_length_a 3.884
_cell_length_b 3.884
_cell_length_c 44.814
_cell_angle_alpha 90.00
_cell_angle_beta 90.00
_cell_angle_gamma 90.00
_space_group_name_H-M_alt 'I 4/m m m'
_space_group_IT_number 139
_space_group_name_Hall '-I 4 2'
loop_
_atom_site_label
_atom_site_fract_x
_atom_site_fract_y
_atom_site_fract_z
Ba1 0.000 0.000 0.163
Tl1 0.000 0.000 0.275
Zn1 0.000 0.000 0.000
Zn2 0.000 0.000 0.079
Cr1 0.000 0.000 0.391
Cr2 0.000 0.000 0.465
O1 0.000 0.000 0.221
O2 0.000 0.000 0.348
O3 0.000 0.500 0.031
O4 0.000 0.500 0.100
```

Most intense lines, 10 to 80 degrees two-theta, sorted by position:
26.85°, rel. 46, (1 0 7)
29.16°, rel. 96, (1 0 9)
31.83°, rel. 89, (1 0 11)
32.61°, rel. 100, (1 1 0)
46.78°, rel. 55, (2 0 0)
57.73°, rel. 52, (2 0 16)

# 2
Theoretical XRD peak list of Li2CoCuO4 for copper Kα, from a PBE+U-relaxed structure.
No peak broadening, texture or thermal motion is included.

```
data_Li2CoCuO4
_chemical_formula_sum 'Li8 Co4 Cu4 O16'
_cell_length_a 9.364
_cell_length_b 4.148
_cell_length_c 8.177
_cell_angle_alpha 90.00
_cell_angle_beta 115.88
_cell_angle_gamma 90.00
_space_group_name_H-M_alt 'C 1 m 1'
_space_group_IT_number 8
_space_group_name_Hall 'C -2y'
loop_
_atom_site_label
_atom_site_fract_x
_atom_site_fract_y
_atom_site_fract_z
Li1 0.000 0.000 0.000
Li2 0.000 0.000 0.498
Li3 0.248 0.500 0.622
Li4 0.257 0.500 0.129
Co1 0.250 0.000 0.375
Co2 0.254 0.000 0.876
Cu1 0.001 0.500 0.253
Cu2 0.006 0.500 0.749
O1 0.016 0.000 0.258
O2 0.027 0.000 0.762
O3 0.228 0.500 0.362
O4 0.232 0.500 0.866
O5 0.272 0.000 0.145
O6 0.278 0.000 0.628
O7 0.478 0.000 0.989
O8 0.493 0.000 0.495
```

Most intense lines, 10 to 80 degrees two-theta, sorted by position:
23.91°, rel. 100, (1 1 0)
24.20°, rel. 100, (2 0 -2)
37.55°, rel. 44, (1 1 2)
42.94°, rel. 47, (4 0 0)
43.64°, rel. 48, (0 2 0)
44.31°, rel. 46, (2 0 -4)

# 3
Theoretical XRD peak list of Li2FeBO4 for copper Kα, from a PBE+U-relaxed structure.
No peak broadening, texture or thermal motion is included.

```
data_Li2FeBO4
_chemical_formula_sum 'Li8 Fe4 B4 O16'
_cell_length_a 7.021
_cell_length_b 7.305
_cell_length_c 6.177
_cell_angle_alpha 90.00
_cell_angle_beta 91.15
_cell_angle_gamma 90.00
_space_group_name_H-M_alt 'C 1 2/m 1'
_space_group_IT_number 12
_space_group_name_Hall '-C 2y'
loop_
_atom_site_label
_atom_site_fract_x
_atom_site_fract_y
_atom_site_fract_z
Li1 0.000 0.178 0.000
Li2 0.174 0.500 0.787
Fe1 0.000 0.196 0.500
B1 0.183 0.500 0.244
O1 0.054 0.334 0.257
O2 0.196 0.000 0.532
O3 0.199 0.000 0.935
```

Most intense lines, 10 to 80 degrees two-theta, sorted by position:
14.34°, rel. 100, (0 0 1)
22.55°, rel. 34, (1 1 -1)
25.38°, rel. 26, (2 0 0)
28.39°, rel. 25, (0 2 1)
29.52°, rel. 31, (2 0 1)
35.47°, rel. 65, (2 2 0)

# 4
Theoretical XRD peak list of TlSbWO6 for copper Kα, from a PBE+U-relaxed structure.
No peak broadening, texture or thermal motion is included.

```
data_TlSbWO6
_chemical_formula_sum 'Tl4 Sb4 W4 O24'
_cell_length_a 7.312
_cell_length_b 10.465
_cell_length_c 7.418
_cell_angle_alpha 90.00
_cell_angle_beta 90.00
_cell_angle_gamma 90.00
_space_group_name_H-M_alt 'I m a 2'
_space_group_IT_number 46
_space_group_name_Hall 'I 2 -2a'
loop_
_atom_site_label
_atom_site_fract_x
_atom_site_fract_y
_atom_site_fract_z
Tl1 0.250 0.152 0.000
Sb1 0.000 0.000 0.556
W1 0.250 0.748 0.803
O1 0.061 0.627 0.249
O2 0.061 0.628 0.865
O3 0.250 0.075 0.559
O4 0.250 0.692 0.556
```

Most intense lines, 10 to 80 degrees two-theta, sorted by position:
24.11°, rel. 24, (1 2 1)
28.30°, rel. 100, (1 1 2)
28.52°, rel. 29, (2 1 1)
29.81°, rel. 32, (2 2 0)
45.37°, rel. 19, (3 3 0)
49.38°, rel. 26, (2 4 2)

# 5
Theoretical XRD peak list of LiFeP3H8O13 for copper Kα, from a PBE+U-relaxed structure.
No peak broadening, texture or thermal motion is included.

```
data_LiFeP3H8O13
_chemical_formula_sum 'Li2 Fe2 P6 H16 O26'
_cell_length_a 7.597
_cell_length_b 8.628
_cell_length_c 9.601
_cell_angle_alpha 101.00
_cell_angle_beta 91.13
_cell_angle_gamma 107.12
_space_group_name_H-M_alt 'P -1'
_space_group_IT_number 2
_space_group_name_Hall '-P 1'
loop_
_atom_site_label
_atom_site_fract_x
_atom_site_fract_y
_atom_site_fract_z
Li1 0.214 0.402 0.309
Fe1 0.000 0.000 0.500
Fe2 0.500 0.500 0.000
P1 0.216 0.725 0.060
P2 0.302 0.645 0.757
P3 0.490 0.002 0.780
H1 0.034 0.905 0.230
H2 0.111 0.995 0.754
H3 0.155 0.753 0.526
H4 0.161 0.296 0.964
H5 0.258 0.868 0.419
H6 0.299 0.187 0.948
H7 0.310 0.311 0.632
H8 0.386 0.175 0.545
O1 0.014 0.009 0.285
O2 0.034 0.724 0.118
O3 0.137 0.822 0.459
O4 0.180 0.620 0.625
O5 0.180 0.685 0.889
O6 0.281 0.290 0.007
O7 0.290 0.229 0.541
O8 0.313 0.031 0.825
O9 0.317 0.615 0.109
O10 0.352 0.913 0.089
O11 0.387 0.511 0.778
O12 0.441 0.955 0.357
O13 0.478 0.810 0.778
```

Most intense lines, 10 to 80 degrees two-theta, sorted by position:
12.91°, rel. 45, (0 1 -1)
14.84°, rel. 98, (1 0 -1)
15.91°, rel. 100, (1 -1 1)
18.79°, rel. 45, (1 1 0)
27.67°, rel. 36, (2 -2 0)
28.39°, rel. 77, (0 1 -3)

# 6
Theoretical XRD peak list of MgV4O8 for copper Kα, from a PBE+U-relaxed structure.
No peak broadening, texture or thermal motion is included.

```
data_MgV4O8
_chemical_formula_sum 'Mg1 V4 O8'
_cell_length_a 3.069
_cell_length_b 10.633
_cell_length_c 5.049
_cell_angle_alpha 90.00
_cell_angle_beta 107.50
_cell_angle_gamma 90.00
_space_group_name_H-M_alt 'P 1 m 1'
_space_group_IT_number 6
_space_group_name_Hall 'P -2y'
loop_
_atom_site_label
_atom_site_fract_x
_atom_site_fract_y
_atom_site_fract_z
Mg1 0.000 0.000 0.000
V1 0.126 0.339 0.252
V2 0.391 0.210 0.778
O1 0.028 0.176 0.054
O2 0.186 0.500 0.377
O3 0.379 0.000 0.755
O4 0.504 0.364 0.005
O5 0.752 0.266 0.506
```

Most intense lines, 10 to 80 degrees two-theta, sorted by position:
16.68°, rel. 100, (0 2 0)
20.24°, rel. 88, (0 1 1)
30.58°, rel. 45, (1 0 -1)
31.34°, rel. 38, (0 3 1)
40.60°, rel. 24, (1 0 1)
60.33°, rel. 24, (2 0 -1)

# 7
Theoretical XRD peak list of MgMn4Zn2O8 for copper Kα, from a PBE+U-relaxed structure.
No peak broadening, texture or thermal motion is included.

```
data_MgMn4Zn2O8
_chemical_formula_sum 'Mg1 Mn4 Zn2 O8'
_cell_length_a 3.038
_cell_length_b 5.247
_cell_length_c 11.427
_cell_angle_alpha 80.72
_cell_angle_beta 85.69
_cell_angle_gamma 77.59
_space_group_name_H-M_alt 'P 1'
_space_group_IT_number 1
_space_group_name_Hall 'P 1'
loop_
_atom_site_label
_atom_site_fract_x
_atom_site_fract_y
_atom_site_fract_z
Mg1 0.000 0.000 0.000
Mn1 0.498 0.933 0.242
Mn2 0.624 0.811 0.793
Mn3 0.665 0.386 0.391
Mn4 0.943 0.323 0.679
Zn1 0.201 0.852 0.536
Zn2 0.254 0.485 0.123
O1 0.027 0.056 0.827
O2 0.113 0.634 0.279
O3 0.214 0.572 0.754
O4 0.261 0.111 0.390
O5 0.582 0.758 0.032
O6 0.621 0.082 0.624
O7 0.811 0.578 0.534
O8 0.881 0.203 0.133
```

Most intense lines, 10 to 80 degrees two-theta, sorted by position:
15.73°, rel. 44, (0 0 2)
31.70°, rel. 90, (0 1 -3)
33.61°, rel. 36, (1 1 -1)
33.69°, rel. 36, (1 1 2)
34.03°, rel. 100, (0 1 4)
38.80°, rel. 66, (0 1 -4)

# 8
Theoretical XRD peak list of Ca3Fe6Sn2O16 for copper Kα, from a PBE+U-relaxed structure.
No peak broadening, texture or thermal motion is included.

```
data_Ca3Fe6Sn2O16
_chemical_formula_sum 'Ca3 Fe6 Sn2 O16'
_cell_length_a 9.358
_cell_length_b 3.108
_cell_length_c 10.958
_cell_angle_alpha 90.00
_cell_angle_beta 90.48
_cell_angle_gamma 90.00
_space_group_name_H-M_alt 'P 1 m 1'
_space_group_IT_number 6
_space_group_name_Hall 'P -2y'
loop_
_atom_site_label
_atom_site_fract_x
_atom_site_fract_y
_atom_site_fract_z
Ca1 0.000 0.000 0.000
Ca2 0.012 0.500 0.493
Ca3 0.511 0.500 0.315
Fe1 0.195 0.500 0.267
Fe2 0.323 0.000 0.047
Fe3 0.350 0.000 0.551
Fe4 0.693 0.500 0.543
Fe5 0.808 0.000 0.758
Fe6 0.843 0.000 0.262
Sn1 0.178 0.500 0.759
Sn2 0.667 0.500 0.045
O1 0.051 0.000 0.317
O2 0.132 0.000 0.629
O3 0.173 0.500 0.084
O4 0.218 0.000 0.880
O5 0.282 0.500 0.437
O6 0.339 0.000 0.231
O7 0.368 0.500 0.668
O8 0.453 0.500 0.016
O9 0.554 0.000 0.484
O10 0.639 0.000 0.180
O11 0.686 0.500 0.720
O12 0.739 0.000 0.939
O13 0.786 0.500 0.366
O14 0.841 0.000 0.574
O15 0.873 0.500 0.128
O16 0.963 0.500 0.820
```

Most intense lines, 10 to 80 degrees two-theta, sorted by position:
18.97°, rel. 48, (2 0 0)
32.69°, rel. 51, (0 0 4)
32.93°, rel. 52, (3 0 -2)
33.17°, rel. 48, (3 0 2)
34.53°, rel. 100, (1 1 -2)
34.65°, rel. 46, (2 1 0)